(1)
Calculated powder X-ray diffraction pattern of Pm4NdSm4 for Cu Kα, 1.54184 Å, from a GGA-PBE-relaxed structure.
Neutral-atom scattering factors, no anomalous dispersion.

a b c (Å): 8.1472 8.1472 8.1472
angles (deg): 95.74 95.74 143.12
Atoms (fractional coordinates):
1 Pm 0.0000 0.3333 0.3333
2 Pm 0.0000 0.6667 0.6667
3 Pm 0.3333 0.0000 0.3333
4 Pm 0.6667 0.0000 0.6667
5 Nd 0.0000 0.0000 0.0000
6 Sm 0.3332 0.3332 0.6663
7 Sm 0.3332 0.6668 0.0000
8 Sm 0.6668 0.3332 0.0000
9 Sm 0.6668 0.6668 0.3337

Principal peaks in the range 10 to 80 degrees two-theta, sorted by position:
2θ = 30.0°, I = 100.0
2θ = 34.8°, I = 50.7
2θ = 50.1°, I = 36.3
2θ = 59.5°, I = 43.3
2θ = 62.4°, I = 12.5
2θ = 73.5°, I = 5.8

***

(2)
Calculated powder X-ray diffraction pattern of PmNd6Sm6 for Cu Kα, 1.54184 Å, from a GGA-PBE-relaxed structure.
Neutral-atom scattering factors, no anomalous dispersion.

a b c (Å): 6.7670 6.7670 11.6247
angles (deg): 90.00 90.00 120.00
Atoms (fractional coordinates):
1 Pm 0.0000 0.0000 0.0000
2 Nd 0.0000 0.0000 0.3513
3 Nd 0.0000 0.0000 0.6487
4 Nd 0.3333 0.6667 0.0000
5 Nd 0.3333 0.6667 0.5000
6 Nd 0.6667 0.3333 0.0000
7 Nd 0.6667 0.3333 0.5000
8 Sm 0.0000 0.5000 0.2496
9 Sm 0.0000 0.5000 0.7504
10 Sm 0.5000 0.0000 0.2496
11 Sm 0.5000 0.0000 0.7504
12 Sm 0.5000 0.5000 0.2496
13 Sm 0.5000 0.5000 0.7504

Principal peaks in the range 10 to 80 degrees two-theta, sorted by position:
2θ = 26.3°, I = 26.2
2θ = 30.5°, I = 100.0
2θ = 30.8°, I = 21.9
2θ = 34.3°, I = 65.3
2θ = 34.4°, I = 23.6
2θ = 54.2°, I = 25.5
2θ = 54.6°, I = 21.3
2θ = 63.6°, I = 16.5

***

(3)
Calculated powder X-ray diffraction pattern of Pm3NdSm7 for Cu Kα, 1.54184 Å, from a GGA-PBE-relaxed structure.
Neutral-atom scattering factors, no anomalous dispersion.

a b c (Å): 7.8060 7.8060 6.4776
angles (deg): 94.06 94.06 81.49
Atoms (fractional coordinates):
1 Pm 0.0000 0.0000 0.0000
2 Pm 0.1725 0.8275 0.5000
3 Pm 0.8275 0.1725 0.5000
4 Nd 0.5000 0.5000 0.0000
5 Sm 0.0801 0.4264 0.2392
6 Sm 0.2374 0.2374 0.7109
7 Sm 0.4264 0.0801 0.2392
8 Sm 0.5000 0.5000 0.5000
9 Sm 0.5736 0.9199 0.7608
10 Sm 0.7626 0.7626 0.2891
11 Sm 0.9199 0.5736 0.7608

Principal peaks in the range 10 to 80 degrees two-theta, sorted by position:
2θ = 30.3°, I = 100.0
2θ = 31.0°, I = 59.0
2θ = 32.9°, I = 39.2
2θ = 36.9°, I = 39.4
2θ = 50.2°, I = 28.6
2θ = 57.2°, I = 14.0
2θ = 62.0°, I = 15.9
2θ = 63.2°, I = 21.7